No. 1
For Ac4Pr2Sn3O2, a crystal structure in Alexandria, relaxed with GGA-PBE gives the calculated PXRD pattern in this record (Cu Kα (weighted mean of Kα1 and Kα2)).
Kinematic intensities with the Lorentz-polarization factor, no thermal factor.

Largest 8 diffraction maxima, low angle first, 2θ = 10–90°:
2θ = 13.2°, I 135; 2θ = 25.7°, I 479; 2θ = 28.2°, I 270; 2θ = 32.0°, I 1000; 2θ = 35.3°, I 556; 2θ = 49.5°, I 173; 2θ = 50.8°, I 201; 2θ = 61.3°, I 326

Crystal structure
```
data_Ac4Pr2Sn3O2
_space_group_name_H-M_alt 'I 4/m m m'
_space_group_IT_number 139
_space_group_name_Hall '-I 4 2'
_cell_length_a 5.0812
_cell_length_b 5.0812
_cell_length_c 26.7792
_cell_angle_alpha 90.00
_cell_angle_beta 90.00
_cell_angle_gamma 90.00
loop_
_atom_site_label
_atom_site_type_symbol
_atom_site_fract_x
_atom_site_fract_y
_atom_site_fract_z
Ac1 Ac 0.0000 0.5000 0.0842
Pr1 Pr 0.0000 0.0000 0.1980
Sn1 Sn 0.0000 0.0000 0.3202
Sn2 Sn 0.0000 0.0000 0.5000
O1 O 0.0000 0.0000 0.1056
```

No. 2
For Li3Au, a crystal structure in Alexandria, relaxed with GGA-PBE gives the calculated PXRD pattern in this record (Cu Kα (weighted mean of Kα1 and Kα2)).
Kinematic intensities with the Lorentz-polarization factor, no thermal factor.

Largest 8 diffraction maxima, low angle first, 2θ = 10–90°:
2θ = 24.5°, I 256; 2θ = 24.7°, I 1000; 2θ = 30.5°, I 299; 2θ = 39.5°, I 369; 2θ = 43.3°, I 235; 2θ = 50.7°, I 149; 2θ = 50.8°, I 295; 2θ = 63.2°, I 155

Crystal structure
```
data_Li3Au
_space_group_name_H-M_alt 'I 4/m m m'
_space_group_IT_number 139
_space_group_name_Hall '-I 4 2'
_cell_length_a 4.1446
_cell_length_b 4.1446
_cell_length_c 7.2673
_cell_angle_alpha 90.00
_cell_angle_beta 90.00
_cell_angle_gamma 90.00
loop_
_atom_site_label
_atom_site_type_symbol
_atom_site_fract_x
_atom_site_fract_y
_atom_site_fract_z
Li1 Li 0.0000 0.0000 0.0000
Li2 Li 0.0000 0.5000 0.2500
Au1 Au 0.0000 0.0000 0.5000
```